Entry 1:
This entry pairs a crystal structure of Te2MoWSe2 with its calculated powder diffraction line list. Radiation: a wavelength of 1.5418 Å. Structure: a cell relaxed with PBE.
No peak broadening, texture or thermal motion is included.

Principal peaks in the range 2θ from 5° to 70°, by intensity:
(hkl), 2θ (°), d (Å), Rel. int.
0 0 5, 11.32, 7.820, 100.0
0 1 8, 35.30, 2.542, 90.0
1 0 13, 42.74, 2.116, 57.9
1 0 0, 30.04, 2.975, 52.5
1 1 0, 53.31, 1.718, 37.1
0 1 14, 44.48, 2.037, 21.0
0 0 3, 6.78, 13.033, 19.1
0 0 6, 13.59, 6.516, 18.5
0 1 9, 36.59, 2.456, 15.2
2 0 8, 65.56, 1.424, 14.6
1 0 5, 32.17, 2.782, 13.0
1 0 7, 34.13, 2.627, 12.4

Crystal structure
Cell: 3.4376 3.4376 39.0983 Å, 90.00 90.00 120.00°
Space group P3m1 (No. 156)
Inequivalent atoms, fractional coordinates:
Te  0.0000  0.0000  0.0000
Te  0.0000  0.0000  0.0954
Te  0.0000  0.0000  0.3760
Te  0.0000  0.0000  0.4709
Mo  0.0000  0.0000  0.8598
Mo  0.3333  0.6667  0.4235
W  0.0000  0.0000  0.2356
W  0.3333  0.6667  0.0478
Se  0.3333  0.6667  0.1936
Se  0.3333  0.6667  0.2775
Se  0.3333  0.6667  0.8180
Se  0.3333  0.6667  0.9017

Entry 2:
This entry pairs a crystal structure of Te2MoWSe2 with its calculated powder diffraction line list. Radiation: a wavelength of 1.5418 Å. Structure: a cell relaxed with PBE.
No peak broadening, texture or thermal motion is included.

Principal peaks in the range 2θ from 5° to 70°, by intensity:
(hkl), 2θ (°), d (Å), Rel. int.
0 0 5, 11.31, 7.824, 100.0
0 1 8, 35.31, 2.542, 88.1
1 0 13, 42.74, 2.116, 57.0
1 0 0, 30.06, 2.972, 53.6
1 1 0, 53.34, 1.717, 34.2
0 0 3, 6.78, 13.040, 22.1
0 0 6, 13.58, 6.520, 21.7
0 1 14, 44.48, 2.037, 21.2
2 0 8, 65.60, 1.423, 14.3
1 0 5, 32.19, 2.781, 12.9
1 1 5, 54.71, 1.678, 11.3
0 1 9, 36.60, 2.455, 10.4

Crystal structure
Cell: 3.4354 3.4354 39.1186 Å, 90.00 90.00 120.00°
Space group P-3m1 (No. 164)
Inequivalent atoms, fractional coordinates:
Te  0.3333  0.6667  0.2343
Te  0.3333  0.6667  0.3293
Mo  0.3333  0.6667  0.7182
W  0.3333  0.6667  0.0939
Se  0.3333  0.6667  0.8640
Se  0.3333  0.6667  0.9481

Entry 3:
This entry pairs a crystal structure of Te2MoWSe2 with its calculated powder diffraction line list. Radiation: a wavelength of 1.5418 Å. Structure: a cell relaxed with PBE.
No peak broadening, texture or thermal motion is included.

Principal peaks in the range 2θ from 5° to 70°, by intensity:
(hkl), 2θ (°), d (Å), Rel. int.
0 0 5, 11.31, 7.822, 100.0
0 1 8, 35.29, 2.543, 90.6
1 0 13, 42.72, 2.116, 57.5
1 0 0, 30.02, 2.977, 47.1
0 0 3, 6.78, 13.036, 40.7
1 1 0, 53.28, 1.719, 33.6
1 0 14, 44.47, 2.037, 19.3
0 0 6, 13.59, 6.518, 19.0
0 1 10, 37.98, 2.369, 15.7
2 0 8, 65.53, 1.425, 14.7
1 0 5, 32.16, 2.783, 13.7
1 1 5, 54.65, 1.679, 11.3

Crystal structure
Cell: 3.4390 3.4390 39.1078 Å, 90.00 90.00 120.00°
Space group P3m1 (No. 156)
Inequivalent atoms, fractional coordinates:
Te  0.0000  0.0000  0.0000
Te  0.0000  0.0000  0.0954
Te  0.3333  0.6667  0.4367
Te  0.3333  0.6667  0.5315
Mo  0.0000  0.0000  0.4841
Mo  0.3333  0.6667  0.6720
W  0.0000  0.0000  0.8598
W  0.3333  0.6667  0.0477
Se  0.0000  0.0000  0.6302
Se  0.0000  0.0000  0.7138
Se  0.3333  0.6667  0.8179
Se  0.3333  0.6667  0.9018

Entry 4:
This entry pairs a crystal structure of Te2MoWSe2 with its calculated powder diffraction line list. Radiation: a wavelength of 1.5418 Å. Structure: a cell relaxed with PBE.
No peak broadening, texture or thermal motion is included.

Principal peaks in the range 2θ from 5° to 70°, by intensity:
(hkl), 2θ (°), d (Å), Rel. int.
0 0 5, 11.32, 7.818, 100.0
0 1 8, 35.30, 2.542, 91.9
1 0 13, 42.74, 2.116, 58.1
0 0 3, 6.78, 13.030, 55.4
1 0 0, 30.03, 2.976, 47.9
1 1 0, 53.30, 1.719, 33.3
1 0 14, 44.49, 2.037, 19.2
0 0 6, 13.59, 6.515, 17.6
0 1 10, 37.99, 2.368, 16.3
1 0 5, 32.17, 2.782, 16.0
2 0 8, 65.56, 1.424, 15.0
1 1 5, 54.67, 1.679, 11.3

Crystal structure
Cell: 3.4378 3.4378 39.0896 Å, 90.00 90.00 120.00°
Space group P3m1 (No. 156)
Inequivalent atoms, fractional coordinates:
Te  0.0000  0.0000  0.0000
Te  0.0000  0.0000  0.0954
Te  0.3333  0.6667  0.4367
Te  0.3333  0.6667  0.5315
Mo  0.0000  0.0000  0.4841
Mo  0.0000  0.0000  0.8598
W  0.3333  0.6667  0.0477
W  0.3333  0.6667  0.6720
Se  0.0000  0.0000  0.6300
Se  0.0000  0.0000  0.7140
Se  0.3333  0.6667  0.8180
Se  0.3333  0.6667  0.9017